Structure and theoretical powder diffractogram of BaCdPF (a cell relaxed with GGA-PBE; Cu Kα, 1.54184 Å).
Intensities are scaled so that the largest is 100.

Peak list (10 most intense, 2θ from 5° to 70°, sorted by position)
2θ (°)  I/Imax  h k l
22.24  48  1 0 1
27.52  89  1 0 2
27.90  38  0 0 3
30.22  74  1 1 1
34.38  100  1 1 2
41.06  62  2 0 0
42.96  20  1 0 4
47.91  47  1 1 4
50.14  33  2 1 2
50.37  30  2 0 3

Cell and atoms:
Cell lengths 4.3967, 4.3967, 9.5929 Å; angles 90.00, 90.00, 90.00 degrees
Element x y z (fractional)
Ba1 0.2500 0.2500 0.1597
Ba2 0.7500 0.7500 0.8403
Cd1 0.2500 0.7500 0.5000
Cd2 0.7500 0.2500 0.5000
P1 0.2500 0.2500 0.6702
P2 0.7500 0.7500 0.3298
F1 0.2500 0.7500 0.0000
F2 0.7500 0.2500 0.0000